The following is a computed PXRD pattern of Gd3Mg4. It was derived from a structure optimized by DFT (GGA-PBE), using Cu Kα (weighted mean of Kα1 and Kα2).
No peak broadening, texture or thermal motion is included.

Crystal structure
```
14
Lattice="9.128 0.000 0.000 -4.564 7.905 0.000 0.000 0.000 5.332" Properties=species:S:1:pos:R:3 pbc="T T T"
Gd -1.226 3.670 1.333
Gd -0.773 7.132 1.333
Gd 2.565 2.897 3.999
Gd 1.999 5.009 1.333
Gd 5.337 0.773 3.999
Gd 5.790 4.235 3.999
Mg -0.628 1.829 3.999
Mg -2.666 7.534 3.999
Mg 1.270 1.458 1.333
Mg 0.000 5.270 3.999
Mg 4.564 2.635 1.333
Mg 3.294 6.447 3.999
Mg 7.230 0.371 1.333
Mg 5.192 6.076 1.333
```

Principal peaks in the range 5° ≤ 2θ ≤ 70°, by intensity:
2theta, I_rel
34.4, 100
29.9, 42
25.7, 35
20.1, 33
11.2, 31
45.6, 26
33.6, 24
64.3, 20

=====

The following is a computed PXRD pattern of Y2Er2TmLu2Ni2Te2. It was derived from a structure optimized by DFT (GGA-PBE), using Cu Kα (weighted mean of Kα1 and Kα2).
No peak broadening, texture or thermal motion is included.

Crystal structure
```
11
Lattice="-1.908 7.706 4.729 1.908 -7.706 4.729 1.908 7.706 -4.729" Properties=species:S:1:pos:R:3 pbc="T T T"
Y 0.000 2.257 0.000
Y 0.000 13.155 0.000
Er 1.908 4.862 -1.401
Er 0.000 2.844 3.328
Tm 1.908 0.000 2.194
Lu 0.000 5.658 1.410
Lu 0.000 9.754 1.410
Ni 1.908 3.696 1.521
Ni 0.000 4.010 6.250
Te 0.000 0.000 4.705
Te 0.000 7.706 3.722
```

Principal peaks in the range 5° ≤ 2θ ≤ 70°, by intensity:
2theta, I_rel
34.4, 100
34.9, 88
33.3, 78
30.7, 49
47.7, 33
59.4, 30
30.5, 27
25.2, 22

=====

The following is a computed PXRD pattern of RbSmTe4. It was derived from a structure optimized by DFT (GGA-PBE), using Cu Kα (weighted mean of Kα1 and Kα2).
No peak broadening, texture or thermal motion is included.

Crystal structure
```
12
Lattice="6.926 0.000 0.000 0.000 6.926 0.000 0.000 0.000 9.315" Properties=species:S:1:pos:R:3 pbc="T T T"
Rb 1.732 1.732 0.000
Rb 5.195 5.195 0.000
Sm 1.732 1.732 4.658
Sm 5.195 5.195 4.658
Te 0.729 4.192 2.778
Te 0.729 6.197 6.538
Te 2.734 4.192 6.538
Te 2.734 6.197 2.778
Te 4.192 0.729 6.538
Te 4.192 2.734 2.778
Te 6.197 0.729 2.778
Te 6.197 2.734 6.538
```

Principal peaks in the range 5° ≤ 2θ ≤ 70°, by intensity:
2theta, I_rel
30.4, 100
26.4, 84
41.2, 62
9.5, 62
32.2, 37
48.9, 33
34.8, 25
56.7, 23